[1]
For Li3NiO3, a GGA+U-relaxed structure gives the calculated powder diffractogram in this record (Cu Kα X-rays).

a b c (Å): 8.7962 8.8313 3.5977
angles (deg): 90.00 90.00 90.00
Positions (direct):
Li (0.1019, 0.1397, 0.0000)
Li (0.1404, 0.8974, 0.5000)
Li (0.1683, 0.3308, 0.5000)
Li (0.3317, 0.8308, 0.0000)
Li (0.3596, 0.3974, 0.0000)
Li (0.3981, 0.6397, 0.5000)
Li (0.6019, 0.3603, 0.5000)
Li (0.6404, 0.6026, 0.0000)
Li (0.6683, 0.1692, 0.0000)
Li (0.8317, 0.6692, 0.5000)
Li (0.8596, 0.1026, 0.5000)
Li (0.8981, 0.8603, 0.0000)
Ni (0.1126, 0.6135, 0.0000)
Ni (0.3874, 0.1135, 0.5000)
Ni (0.6126, 0.8865, 0.5000)
Ni (0.8874, 0.3865, 0.0000)
O (0.0987, 0.3963, 0.0000)
O (0.1122, 0.8234, 0.0000)
O (0.1815, 0.1111, 0.5000)
O (0.3185, 0.6111, 0.0000)
O (0.3878, 0.3234, 0.5000)
O (0.4013, 0.8963, 0.5000)
O (0.5987, 0.1037, 0.5000)
O (0.6122, 0.6766, 0.5000)
O (0.6815, 0.3889, 0.0000)
O (0.8185, 0.8889, 0.5000)
O (0.8878, 0.1766, 0.0000)
O (0.9013, 0.6037, 0.0000)

Most intense lines, 10° ≤ 2θ ≤ 80°, in order of rising 2θ:
2θ/deg  Rel. int.
14.21  53
22.56  39
26.76  100
28.65  31
38.21  12
40.89  26
41.03  25
49.54  11
50.75  16
58.19  13
58.39  13
73.69  15

=====

[2]
For Cs2LiTm2W4O16, a GGA+U-relaxed structure gives the calculated powder diffractogram in this record (Cu Kα X-rays).

a b c (Å): 7.4453 7.5320 7.9802
angles (deg): 62.62 87.95 62.48
Positions (direct):
Cs (0.0000, 0.0000, 0.0000)
Cs (0.4550, 0.4397, 0.6900)
Li (0.2168, 0.8714, 0.3666)
Tm (0.4651, 0.9665, 0.6416)
Tm (0.9689, 0.4900, 0.0436)
W (0.5216, 0.4415, 0.1604)
W (0.5258, 0.9369, 0.1610)
W (0.9053, 0.0325, 0.5401)
W (0.9333, 0.5308, 0.5240)
O (0.1942, 0.3358, 0.5183)
O (0.1987, 0.9343, 0.5819)
O (0.2524, 0.1163, 0.1722)
O (0.2522, 0.5234, 0.0790)
O (0.4482, 0.6719, 0.2321)
O (0.4744, 0.0029, 0.9092)
O (0.5792, 0.2003, 0.4327)
O (0.5860, 0.6021, 0.9271)
O (0.5946, 0.1641, 0.1079)
O (0.6152, 0.7837, 0.4583)
O (0.8244, 0.6804, 0.2218)
O (0.8412, 0.8594, 0.7673)
O (0.8446, 0.2699, 0.2499)
O (0.8509, 0.3041, 0.5767)
O (0.9675, 0.4550, 0.7810)
O (0.9945, 0.7853, 0.4568)

Most intense lines, 10° ≤ 2θ ≤ 80°, in order of rising 2θ:
2θ/deg  Rel. int.
25.80  71
26.41  53
27.29  37
27.73  100
28.69  91
29.39  95
30.92  73
32.05  50
32.57  42
33.54  32
46.79  29
55.25  33

=====

[3]
For LiV2Si2O8, a GGA+U-relaxed structure gives the calculated powder diffractogram in this record (Cu Kα X-rays).

a b c (Å): 5.7333 5.8276 7.9867
angles (deg): 90.00 90.00 90.00
Positions (direct):
Li (0.0000, 0.1744, 0.2500)
Li (0.0000, 0.8256, 0.7500)
V (0.2200, 0.5000, 0.5000)
V (0.5000, 0.2153, 0.2500)
V (0.5000, 0.7847, 0.7500)
V (0.7800, 0.5000, 0.0000)
Si (0.2597, 0.2652, 0.8768)
Si (0.2597, 0.7348, 0.1232)
Si (0.7403, 0.2652, 0.6232)
Si (0.7403, 0.7348, 0.3768)
O (0.0160, 0.2765, 0.9894)
O (0.0160, 0.7235, 0.0106)
O (0.2601, 0.4952, 0.7457)
O (0.2601, 0.5048, 0.2543)
O (0.2622, 0.0246, 0.7764)
O (0.2622, 0.9754, 0.2236)
O (0.4952, 0.2783, 0.0026)
O (0.4952, 0.7217, 0.9974)
O (0.5048, 0.2783, 0.4974)
O (0.5048, 0.7217, 0.5026)
O (0.7378, 0.0246, 0.7236)
O (0.7378, 0.9754, 0.2764)
O (0.7399, 0.4952, 0.7543)
O (0.7399, 0.5048, 0.2457)
O (0.9840, 0.2765, 0.5106)
O (0.9840, 0.7235, 0.4894)

Most intense lines, 10° ≤ 2θ ≤ 80°, in order of rising 2θ:
2θ/deg  Rel. int.
15.20  53
15.46  33
24.47  100
27.07  45
27.21  28
31.32  39
36.37  60
36.71  70
37.13  31
37.24  32
44.33  50
65.34  71

=====

[4]
For CrH12PdN4O4, a GGA+U-relaxed structure gives the calculated powder diffractogram in this record (Cu Kα X-rays).

a b c (Å): 9.2703 9.2703 9.2703
angles (deg): 133.03 133.03 68.60
Positions (direct):
Cr (0.3750, 0.6250, 0.7500)
Cr (0.6250, 0.3750, 0.2500)
H (0.0159, 0.4884, 0.1983)
H (0.0159, 0.8176, 0.5274)
H (0.1824, 0.2099, 0.1983)
H (0.1824, 0.9841, 0.9726)
H (0.1915, 0.2573, 0.5657)
H (0.1915, 0.6258, 0.9343)
H (0.2099, 0.1824, 0.6983)
H (0.2099, 0.5116, 0.0274)
H (0.2573, 0.1915, 0.0657)
H (0.3742, 0.8085, 0.5657)
H (0.4884, 0.0159, 0.6983)
H (0.4884, 0.7901, 0.4726)
H (0.5116, 0.2099, 0.5274)
H (0.5116, 0.9841, 0.3017)
H (0.6258, 0.1915, 0.4343)
H (0.7427, 0.8085, 0.9343)
H (0.7901, 0.4884, 0.9726)
H (0.7901, 0.8176, 0.3017)
H (0.8085, 0.3742, 0.0657)
H (0.8085, 0.7427, 0.4343)
H (0.8176, 0.0159, 0.0274)
H (0.8176, 0.7901, 0.8017)
H (0.9841, 0.1824, 0.4726)
H (0.9841, 0.5116, 0.8017)
Pd (0.1250, 0.8750, 0.2500)
Pd (0.8750, 0.1250, 0.7500)
N (0.1261, 0.1551, 0.5289)
N (0.1261, 0.5972, 0.9711)
N (0.1551, 0.1261, 0.0289)
N (0.4028, 0.8739, 0.5289)
N (0.5972, 0.1261, 0.4711)
N (0.8449, 0.8739, 0.9711)
N (0.8739, 0.4028, 0.0289)
N (0.8739, 0.8449, 0.4711)
O (0.2519, 0.6874, 0.5645)
O (0.3126, 0.3771, 0.5645)
O (0.3126, 0.7481, 0.9355)
O (0.3771, 0.3126, 0.0645)
O (0.6229, 0.6874, 0.9355)
O (0.6874, 0.2519, 0.0645)
O (0.6874, 0.6229, 0.4355)
O (0.7481, 0.3126, 0.4355)

Most intense lines, 10° ≤ 2θ ≤ 80°, in order of rising 2θ:
2θ/deg  Rel. int.
13.31  9
20.58  100
23.23  38
24.09  38
33.71  28
39.28  12
40.36  34
49.34  9
53.14  18
53.97  12
55.21  9
61.09  9